Na2MnCoNiO6: calculated powder XRD pattern (CuKα), based on a crystal structure in Alexandria, relaxed with PBE+U.
Lines closer than 0.1° are merged.

Principal peaks in the range 5 to 70 degrees two-theta, in order of rising 2θ:
Position (°2θ)  I (rel.)
15.85  100
32.02  14
36.90  21
37.75  14
44.41  40
45.97  18

```
data_Na2MnCoNiO6
_chemical_formula_sum 'Na4 Mn2 Co2 Ni2 O12'
_symmetry_space_group_name_H-M 'C 1 m 1'
_symmetry_Int_Tables_number 8
_cell_length_a 14.2673
_cell_length_b 2.9253
_cell_length_c 6.4053
_cell_angle_alpha 90.00
_cell_angle_beta 112.39
_cell_angle_gamma 90.00
loop_
_symmetry_equiv_pos_as_xyz
'x,y,z'
'x,-y,z'
'x+1/2,y+1/2,z'
'x+1/2,-y+1/2,z'
loop_
_atom_site_label
_atom_site_fract_x
_atom_site_fract_y
_atom_site_fract_z
Na1 0.0000 0.0000 0.0000
Na2 0.2443 0.0000 0.4424
Mn1 0.1223 0.0000 0.7174
Co1 0.2909 0.5000 0.0435
Ni1 0.4542 0.0000 0.3870
O1 0.0375 0.5000 0.7428
O2 0.0583 0.0000 0.4017
O3 0.2017 0.0000 0.0434
O4 0.2145 0.5000 0.7180
O5 0.3513 0.5000 0.3539
O6 0.3751 0.0000 0.0318
```